Diffraction record for Cs2NiPS4. The powder diffraction line list is calculated, not measured: it uses a PBE-relaxed structure and Cu Kα, 1.54184 Å.

Principal peaks in the range 2θ from 10° to 80°, low angle first:
| Position (°2θ) | d (Å) | I_rel |
| --- | --- | --- |
| 19.6 | 4.524 | 58 |
| 25.0 | 3.558 | 35 |
| 25.6 | 3.483 | 100 |
| 26.3 | 3.387 | 34 |
| 27.1 | 3.289 | 82 |
| 30.9 | 2.893 | 84 |
| 32.9 | 2.723 | 41 |
| 37.5 | 2.400 | 42 |
| 46.4 | 1.958 | 45 |
| 50.8 | 1.798 | 30 |

```
Cs2NiPS4
1.0
0.0000 6.7737 12.1834
2.9743 0.0000 12.1834
2.9743 6.7737 0.0000
Cs Ni P S
4 2 2 8
direct
0.0508 0.0508 0.6992
0.3008 0.3008 0.9492
0.6992 0.6992 0.0508
0.9492 0.9492 0.3008
0.1250 0.1250 0.1250
0.8750 0.8750 0.8750
0.3750 0.3750 0.3750
0.6250 0.6250 0.6250
0.0242 0.6343 0.5552
0.2863 0.5552 0.6343
0.3657 0.9758 0.7137
0.4448 0.7137 0.9758
0.5552 0.2863 0.0242
0.6343 0.0242 0.2863
0.7137 0.4448 0.3657
0.9758 0.3657 0.4448
```